Record 1
Starting from a structure optimized by DFT (PBE), the powder diffraction line list of CaSeS was simulated for Cu Kα X-rays.
Neutral-atom scattering factors, no anomalous dispersion.

Main lines, in order of falling intensity (10 to 80 degrees two-theta):
| 2θ/deg | I/Imax |
| --- | --- |
| 21.06 | 1000 |
| 38.46 | 530 |
| 38.68 | 468 |
| 22.48 | 421 |
| 42.52 | 398 |
| 10.96 | 350 |

Structure:
```
data_CaSeS
_chemical_formula_sum 'Ca4 Se4 S4'
_cell_length_a 9.8295
_cell_length_b 4.6798
_cell_length_c 8.1406
_cell_angle_alpha 90.00
_cell_angle_beta 97.34
_cell_angle_gamma 90.00
_space_group_name_H-M_alt 'P 1'
_space_group_IT_number 1
loop_
_space_group_symop_operation_xyz
'x,y,z'
loop_
_atom_site_label
_atom_site_type_symbol
_atom_site_fract_x
_atom_site_fract_y
_atom_site_fract_z
_atom_site_occupancy
Ca1 Ca 0.2161 0.0000 0.2174 1
Ca2 Ca 0.2839 0.5000 0.7826 1
Ca3 Ca 0.7161 0.5000 0.2174 1
Ca4 Ca 0.7839 0.0000 0.7826 1
Se1 Se 0.0921 0.0000 0.8588 1
Se2 Se 0.4079 0.5000 0.1412 1
Se3 Se 0.5921 0.5000 0.8588 1
Se4 Se 0.9079 0.0000 0.1412 1
S1 S 0.2045 0.0000 0.6301 1
S2 S 0.2955 0.5000 0.3699 1
S3 S 0.7045 0.5000 0.6301 1
S4 S 0.7955 0.0000 0.3699 1
```

Record 2
Starting from a structure optimized by DFT (PBE), the powder diffraction line list of Ca4SeS3 was simulated for Cu Kα X-rays.
Neutral-atom scattering factors, no anomalous dispersion.

Main lines, in order of falling intensity (10 to 80 degrees two-theta):
| 2θ/deg | I/Imax |
| --- | --- |
| 30.95 | 1000 |
| 44.33 | 680 |
| 73.25 | 275 |
| 55.04 | 226 |
| 64.50 | 102 |
| 17.15 | 38 |

Structure:
```
data_Ca4SeS3
_chemical_formula_sum 'Ca8 Se2 S6'
_cell_length_a 7.0775
_cell_length_b 8.1763
_cell_length_c 7.0764
_cell_angle_alpha 90.00
_cell_angle_beta 109.48
_cell_angle_gamma 90.00
_space_group_name_H-M_alt 'P 1'
_space_group_IT_number 1
loop_
_space_group_symop_operation_xyz
'x,y,z'
loop_
_atom_site_label
_atom_site_type_symbol
_atom_site_fract_x
_atom_site_fract_y
_atom_site_fract_z
_atom_site_occupancy
Ca1 Ca 0.2423 0.1293 0.0013 1
Ca2 Ca 0.2423 0.8707 0.5013 1
Ca3 Ca 0.2488 0.3793 0.4955 1
Ca4 Ca 0.2488 0.6207 0.9955 1
Ca5 Ca 0.7512 0.3793 0.0045 1
Ca6 Ca 0.7512 0.6207 0.5045 1
Ca7 Ca 0.7577 0.1293 0.4987 1
Ca8 Ca 0.7577 0.8707 0.9987 1
Se1 Se 0.5000 0.1257 0.7500 1
Se2 Se 0.5000 0.8743 0.2500 1
S1 S 0.0000 0.1263 0.2500 1
S2 S 0.0000 0.3760 0.7500 1
S3 S 0.0000 0.6240 0.2500 1
S4 S 0.0000 0.8737 0.7500 1
S5 S 0.5000 0.3761 0.2500 1
S6 S 0.5000 0.6239 0.7500 1
```

Record 3
Starting from a structure optimized by DFT (PBE), the powder diffraction line list of CaTbSeS was simulated for Cu Kα X-rays.
Neutral-atom scattering factors, no anomalous dispersion.

Main lines, in order of falling intensity (10 to 80 degrees two-theta):
| 2θ/deg | I/Imax |
| --- | --- |
| 33.54 | 1000 |
| 27.32 | 864 |
| 12.46 | 663 |
| 39.58 | 578 |
| 45.83 | 483 |
| 71.33 | 248 |

Structure:
```
data_CaTbSeS
_chemical_formula_sum 'Ca3 Tb3 Se3 S3'
_cell_length_a 3.9599
_cell_length_b 3.9599
_cell_length_c 21.3156
_cell_angle_alpha 90.00
_cell_angle_beta 90.00
_cell_angle_gamma 120.00
_space_group_name_H-M_alt 'P 1'
_space_group_IT_number 1
loop_
_space_group_symop_operation_xyz
'x,y,z'
loop_
_atom_site_label
_atom_site_type_symbol
_atom_site_fract_x
_atom_site_fract_y
_atom_site_fract_z
_atom_site_occupancy
Ca1 Ca 0.0000 0.0000 0.0000 1
Ca2 Ca 0.3333 0.6667 0.6667 1
Ca3 Ca 0.6667 0.3333 0.3333 1
Tb1 Tb 0.0000 0.0000 0.8325 1
Tb2 Tb 0.3333 0.6667 0.4992 1
Tb3 Tb 0.6667 0.3333 0.1658 1
Se1 Se 0.0000 0.0000 0.4176 1
Se2 Se 0.3333 0.6667 0.0842 1
Se3 Se 0.6667 0.3333 0.7509 1
S1 S 0.0000 0.0000 0.2453 1
S2 S 0.3333 0.6667 0.9119 1
S3 S 0.6667 0.3333 0.5786 1
```

Record 4
Starting from a structure optimized by DFT (PBE), the powder diffraction line list of Ca4SmS5 was simulated for Cu Kα X-rays.
Neutral-atom scattering factors, no anomalous dispersion.

Main lines, in order of falling intensity (10 to 80 degrees two-theta):
| 2θ/deg | I/Imax |
| --- | --- |
| 45.00 | 1000 |
| 31.44 | 969 |
| 31.29 | 581 |
| 55.89 | 373 |
| 27.10 | 267 |
| 22.31 | 215 |

Structure:
```
data_Ca4SmS5
_chemical_formula_sum 'Ca4 Sm1 S5'
_cell_length_a 14.5661
_cell_length_b 14.5661
_cell_length_c 14.5661
_cell_angle_alpha 164.12
_cell_angle_beta 164.12
_cell_angle_gamma 22.53
_space_group_name_H-M_alt 'P 1'
_space_group_IT_number 1
loop_
_space_group_symop_operation_xyz
'x,y,z'
loop_
_atom_site_label
_atom_site_type_symbol
_atom_site_fract_x
_atom_site_fract_y
_atom_site_fract_z
_atom_site_occupancy
Ca1 Ca 0.1003 0.1003 0.0000 1
Ca2 Ca 0.2998 0.2998 0.0000 1
Ca3 Ca 0.7002 0.7002 0.0000 1
Ca4 Ca 0.8997 0.8997 0.0000 1
Sm1 Sm 0.5000 0.5000 0.0000 1
S1 S 0.0000 0.0000 0.0000 1
S2 S 0.1999 0.1999 0.0000 1
S3 S 0.4002 0.4002 0.0000 1
S4 S 0.5998 0.5998 0.0000 1
S5 S 0.8001 0.8001 0.0000 1
```

Record 5
Starting from a structure optimized by DFT (PBE), the powder diffraction line list of Ca4Sm3S8 was simulated for Cu Kα X-rays.
Neutral-atom scattering factors, no anomalous dispersion.

Main lines, in order of falling intensity (10 to 80 degrees two-theta):
| 2θ/deg | I/Imax |
| --- | --- |
| 45.04 | 1000 |
| 31.32 | 963 |
| 31.50 | 949 |
| 31.63 | 938 |
| 22.08 | 895 |
| 27.18 | 840 |

Structure:
```
data_Ca4Sm3S8
_chemical_formula_sum 'Ca4 Sm3 S8'
_cell_length_a 8.0164
_cell_length_b 8.0164
_cell_length_c 8.0359
_cell_angle_alpha 119.76
_cell_angle_beta 119.76
_cell_angle_gamma 90.23
_space_group_name_H-M_alt 'P 1'
_space_group_IT_number 1
loop_
_space_group_symop_operation_xyz
'x,y,z'
loop_
_atom_site_label
_atom_site_type_symbol
_atom_site_fract_x
_atom_site_fract_y
_atom_site_fract_z
_atom_site_occupancy
Ca1 Ca 0.0000 0.0000 0.0000 1
Ca2 Ca 0.0000 0.5000 0.0000 1
Ca3 Ca 0.5000 0.0000 0.0000 1
Ca4 Ca 0.5000 0.5000 0.5000 1
Sm1 Sm 0.0000 0.5000 0.5000 1
Sm2 Sm 0.5000 0.0000 0.5000 1
Sm3 Sm 0.5000 0.5000 0.0000 1
S1 S 0.2500 0.7500 0.0000 1
S2 S 0.2525 0.2525 0.5023 1
S3 S 0.2529 0.7471 0.5000 1
S4 S 0.2582 0.2582 0.0105 1
S5 S 0.7418 0.7418 0.9895 1
S6 S 0.7471 0.2529 0.5000 1
S7 S 0.7475 0.7475 0.4977 1
S8 S 0.7500 0.2500 0.0000 1
```

Record 6
Starting from a structure optimized by DFT (PBE), the powder diffraction line list of Ca6SmS8 was simulated for Cu Kα X-rays.
Neutral-atom scattering factors, no anomalous dispersion.

Main lines, in order of falling intensity (10 to 80 degrees two-theta):
| 2θ/deg | I/Imax |
| --- | --- |
| 31.27 | 1000 |
| 44.80 | 677 |
| 13.40 | 558 |
| 25.82 | 308 |
| 74.11 | 276 |
| 55.64 | 226 |

Structure:
```
data_Ca6SmS8
_chemical_formula_sum 'Ca6 Sm1 S8'
_cell_length_a 8.0918
_cell_length_b 8.0918
_cell_length_c 8.0918
_cell_angle_alpha 60.00
_cell_angle_beta 60.00
_cell_angle_gamma 60.00
_space_group_name_H-M_alt 'P 1'
_space_group_IT_number 1
loop_
_space_group_symop_operation_xyz
'x,y,z'
loop_
_atom_site_label
_atom_site_type_symbol
_atom_site_fract_x
_atom_site_fract_y
_atom_site_fract_z
_atom_site_occupancy
Ca1 Ca 0.0000 0.0000 0.5000 1
Ca2 Ca 0.0000 0.5000 0.0000 1
Ca3 Ca 0.0000 0.5000 0.5000 1
Ca4 Ca 0.5000 0.0000 0.0000 1
Ca5 Ca 0.5000 0.0000 0.5000 1
Ca6 Ca 0.5000 0.5000 0.0000 1
Sm1 Sm 0.0000 0.0000 0.0000 1
S1 S 0.2429 0.2429 0.7571 1
S2 S 0.2429 0.7571 0.2429 1
S3 S 0.2429 0.7571 0.7571 1
S4 S 0.2500 0.2500 0.2500 1
S5 S 0.7500 0.7500 0.7500 1
S6 S 0.7571 0.2429 0.2429 1
S7 S 0.7571 0.2429 0.7571 1
S8 S 0.7571 0.7571 0.2429 1
```

Record 7
Starting from a structure optimized by DFT (PBE), the powder diffraction line list of Ca5Sm3S8 was simulated for Cu Kα X-rays.
Neutral-atom scattering factors, no anomalous dispersion.

Main lines, in order of falling intensity (10 to 80 degrees two-theta):
| 2θ/deg | I/Imax |
| --- | --- |
| 31.48 | 1000 |
| 13.44 | 373 |
| 44.99 | 352 |
| 45.23 | 346 |
| 27.22 | 253 |
| 26.06 | 190 |

Structure:
```
data_Ca5Sm3S8
_chemical_formula_sum 'Ca5 Sm3 S8'
_cell_length_a 8.0600
_cell_length_b 8.0600
_cell_length_c 8.0600
_cell_angle_alpha 59.66
_cell_angle_beta 59.66
_cell_angle_gamma 59.66
_space_group_name_H-M_alt 'P 1'
_space_group_IT_number 1
loop_
_space_group_symop_operation_xyz
'x,y,z'
loop_
_atom_site_label
_atom_site_type_symbol
_atom_site_fract_x
_atom_site_fract_y
_atom_site_fract_z
_atom_site_occupancy
Ca1 Ca 0.0000 0.0000 0.0000 1
Ca2 Ca 0.0000 0.5000 0.5000 1
Ca3 Ca 0.5000 0.0000 0.5000 1
Ca4 Ca 0.5000 0.5000 0.0000 1
Ca5 Ca 0.5000 0.5000 0.5000 1
Sm1 Sm 0.0000 0.0000 0.5000 1
Sm2 Sm 0.0000 0.5000 0.0000 1
Sm3 Sm 0.5000 0.0000 0.0000 1
S1 S 0.2500 0.2500 0.7498 1
S2 S 0.2500 0.7498 0.2500 1
S3 S 0.2502 0.7500 0.7500 1
S4 S 0.2507 0.2507 0.2507 1
S5 S 0.7493 0.7493 0.7493 1
S6 S 0.7498 0.2500 0.2500 1
S7 S 0.7500 0.2502 0.7500 1
S8 S 0.7500 0.7500 0.2502 1
```

Record 8
Starting from a structure optimized by DFT (PBE), the powder diffraction line list of Sr3CaSm3S8 was simulated for Cu Kα X-rays.
Neutral-atom scattering factors, no anomalous dispersion.

Main lines, in order of falling intensity (10 to 80 degrees two-theta):
| 2θ/deg | I/Imax |
| --- | --- |
| 30.64 | 1000 |
| 43.42 | 362 |
| 44.35 | 350 |
| 26.64 | 317 |
| 15.18 | 193 |
| 54.87 | 182 |

Structure:
```
data_Sr3CaSm3S8
_chemical_formula_sum 'Sr3 Ca1 Sm3 S8'
_cell_length_a 8.3394
_cell_length_b 8.3394
_cell_length_c 8.3394
_cell_angle_alpha 58.66
_cell_angle_beta 58.66
_cell_angle_gamma 58.66
_space_group_name_H-M_alt 'P 1'
_space_group_IT_number 1
loop_
_space_group_symop_operation_xyz
'x,y,z'
loop_
_atom_site_label
_atom_site_type_symbol
_atom_site_fract_x
_atom_site_fract_y
_atom_site_fract_z
_atom_site_occupancy
Sr1 Sr 0.0000 0.5000 0.5000 1
Sr2 Sr 0.5000 0.0000 0.5000 1
Sr3 Sr 0.5000 0.5000 0.0000 1
Ca1 Ca 0.5000 0.5000 0.5000 1
Sm1 Sm 0.0000 0.0000 0.5000 1
Sm2 Sm 0.0000 0.5000 0.0000 1
Sm3 Sm 0.5000 0.0000 0.0000 1
S1 S 0.2424 0.7429 0.7429 1
S2 S 0.2450 0.2450 0.2450 1
S3 S 0.2571 0.2571 0.7576 1
S4 S 0.2571 0.7576 0.2571 1
S5 S 0.7429 0.2424 0.7429 1
S6 S 0.7429 0.7429 0.2424 1
S7 S 0.7550 0.7550 0.7550 1
S8 S 0.7576 0.2571 0.2571 1
```